Record 1
Starting from a DFT-relaxed cell (PBE, Alexandria), the X-ray powder pattern of AlIn3P4 was simulated for Cu Kα (λ = 1.5418 Å).
No peak broadening, texture or thermal motion is included.

Structure:
Cell: 5.8325 5.8325 5.8325 Å, 90.00 90.00 90.00°
Fractional coordinates of all 8 atoms:
Al1 0.0000 0.0000 0.0000
In1 0.0000 0.5000 0.5000
In2 0.5000 0.0000 0.5000
In3 0.5000 0.5000 0.0000
P1 0.2382 0.2382 0.2382
P2 0.2382 0.7618 0.7618
P3 0.7618 0.2382 0.7618
P4 0.7618 0.7618 0.2382

Peak list (8 most intense, 2θ from 10° to 90°, in order of rising 2θ)
2θ 21.5, I = 12; 2θ 26.5, I = 100; 2θ 30.7, I = 21; 2θ 43.9, I = 58; 2θ 52.0, I = 44; 2θ 70.4, I = 17; 2θ 80.7, I = 18; 2θ 86.8, I = 13

Record 2
Starting from a DFT-relaxed cell (PBE, Alexandria), the X-ray powder pattern of YTm3Au2 was simulated for Cu Kα (λ = 1.5418 Å).
No peak broadening, texture or thermal motion is included.

Structure:
Cell: 4.9023 8.8389 7.0886 Å, 90.00 90.00 90.00°
Fractional coordinates of all 12 atoms:
Y1 0.0000 0.0725 0.0000
Y2 0.0000 0.9275 0.5000
Tm1 0.0000 0.3303 0.6335
Tm2 0.0000 0.6697 0.1335
Tm3 0.5000 0.1726 0.3372
Tm4 0.5000 0.4267 0.9702
Tm5 0.5000 0.5733 0.4702
Tm6 0.5000 0.8274 0.8372
Au1 0.0000 0.3514 0.2304
Au2 0.0000 0.6486 0.7304
Au3 0.5000 0.1516 0.7404
Au4 0.5000 0.8484 0.2404

Peak list (8 most intense, 2θ from 10° to 90°, in order of rising 2θ)
2θ 30.0, I = 64; 2θ 31.1, I = 36; 2θ 32.8, I = 100; 2θ 35.5, I = 91; 2θ 36.7, I = 71; 2θ 43.4, I = 26; 2θ 43.7, I = 27; 2θ 44.0, I = 31

Record 3
Starting from a DFT-relaxed cell (PBE, Alexandria), the X-ray powder pattern of Sr2Pu3O10 was simulated for Cu Kα (λ = 1.5418 Å).
No peak broadening, texture or thermal motion is included.

Structure:
Cell: 10.0649 10.0649 8.4160 Å, 114.36 114.36 38.65°
Fractional coordinates of all 30 atoms:
Sr1 0.0979 0.0979 0.4453
Sr2 0.1997 0.1997 0.0311
Sr3 0.8003 0.8003 0.9689
Sr4 0.9021 0.9021 0.5547
Pu1 0.2445 0.7555 0.0000
Pu2 0.3137 0.3137 0.6546
Pu3 0.4173 0.4173 0.3118
Pu4 0.5827 0.5827 0.6882
Pu5 0.6863 0.6863 0.3454
Pu6 0.7555 0.2445 0.0000
O1 0.0000 0.5000 0.5000
O2 0.0224 0.0224 0.8589
O3 0.1177 0.6571 0.8140
O4 0.1345 0.5447 0.1764
O5 0.2509 0.2509 0.7740
O6 0.2807 0.7193 0.5000
O7 0.3429 0.8823 0.1860
O8 0.3739 0.3739 0.5222
O9 0.4553 0.8655 0.8236
O10 0.4755 0.4755 0.1293
O11 0.5000 0.0000 0.5000
O12 0.5245 0.5245 0.8707
O13 0.5447 0.1345 0.1764
O14 0.6261 0.6261 0.4778
O15 0.6571 0.1177 0.8140
O16 0.7193 0.2807 0.5000
O17 0.7491 0.7491 0.2260
O18 0.8655 0.4553 0.8236
O19 0.8823 0.3429 0.1860
O20 0.9776 0.9776 0.1411

Peak list (8 most intense, 2θ from 10° to 90°, in order of rising 2θ)
2θ 14.3, I = 44; 2θ 23.6, I = 68; 2θ 25.6, I = 100; 2θ 26.9, I = 61; 2θ 27.0, I = 36; 2θ 28.1, I = 57; 2θ 29.3, I = 55; 2θ 32.9, I = 36